Theoretical powder diffraction line list of HfV for CuKα, from DFT lattice parameters and positions (PBE).

Most intense lines, 15 to 90 degrees two-theta, by intensity:
(1 3 0), 35.81°, intensity 100; (0 2 2), 34.79°, intensity 49; (1 1 2), 43.70°, intensity 33; (0 5 1), 39.35°, intensity 32; (0 3 1), 26.54°, intensity 25; (1 5 2), 57.25°, intensity 24; (1 0 1), 32.66°, intensity 18; (2 0 0), 58.98°, intensity 16; (0 1 1), 17.19°, intensity 14; (2 2 2), 70.30°, intensity 13

Structure:
```
data_HfV
_chemical_formula_sum 'Hf6 V6'
_symmetry_space_group_name_H-M 'I m m 2'
_symmetry_Int_Tables_number 44
_cell_length_a 3.133
_cell_length_b 12.517
_cell_length_c 5.661
_cell_angle_alpha 90.00
_cell_angle_beta 90.00
_cell_angle_gamma 90.00
loop_
_symmetry_equiv_pos_as_xyz
'x,y,z'
'-x,-y,z'
'-x,y,z'
'x,-y,z'
'x+1/2,y+1/2,z+1/2'
'-x+1/2,-y+1/2,z+1/2'
'-x+1/2,y+1/2,z+1/2'
'x+1/2,-y+1/2,z+1/2'
loop_
_atom_site_label
_atom_site_type_symbol
_atom_site_fract_x
_atom_site_fract_y
_atom_site_fract_z
_atom_site_occupancy
Hf1 Hf 0.000 0.000 0.000 1
Hf2 Hf 0.000 0.300 0.265 1
V1 V 0.000 0.000 0.515 1
V2 V 0.000 0.386 0.802 1
```